This entry pairs a crystal structure of In6PbAu12 with its calculated powder diffractogram. Radiation: Cu Kα, 1.54184 Å. Structure: a cell relaxed with GGA-PBE.
Kinematic intensities with the Lorentz-polarization factor, no thermal factor.

Peak list (10 most intense, 2θ from 10° to 90°, by angle)
d (Å), 2θ/deg, Rel. int.
4.248, 20.91, 29
2.856, 31.32, 100
2.762, 32.42, 45
2.399, 37.49, 58
2.342, 38.43, 60
2.188, 41.27, 51
2.124, 42.57, 33
1.961, 46.31, 50
1.526, 60.70, 20
1.285, 73.73, 29

Atomic structure:
Unit cell a=12.5027 b=12.5027 c=9.2355 alpha=90.00 beta=90.00 gamma=120.00
Space group R-3m (No. 166, hexagonal axes)
One atom of each set of equivalent atoms:
1 In 0.0655 0.5328 0.2361 (multiplicity 18)
2 Pb 0.0000 0.0000 0.0000 (multiplicity 3)
3 Au 0.0000 0.3875 0.5000 (multiplicity 18)
4 Au 0.0807 0.1614 0.2680 (multiplicity 18)

---

This entry pairs a crystal structure of InPb4Au3 with its calculated powder diffractogram. Radiation: Cu Kα, 1.54184 Å. Structure: a cell relaxed with GGA-PBE.
Kinematic intensities with the Lorentz-polarization factor, no thermal factor.

Peak list (10 most intense, 2θ from 10° to 90°, by angle)
d (Å), 2θ/deg, Rel. int.
3.454, 25.80, 47
3.113, 28.68, 64
3.045, 29.34, 100
2.989, 29.89, 46
2.934, 30.47, 71
2.430, 37.00, 74
2.422, 37.13, 37
2.352, 38.26, 97
2.259, 39.91, 42
1.991, 45.57, 45

Atomic structure:
Unit cell a=13.141 b=6.919 c=10.593 alpha=90.00 beta=114.58 gamma=90.00
Space group Cc (No. 9)
One atom of each set of equivalent atoms:
1 In 0.000 0.222 0.000 (multiplicity 4)
2 Pb 0.070 0.366 0.763 (multiplicity 4)
3 Pb 0.104 0.146 0.365 (multiplicity 4)
4 Pb 0.286 0.318 0.165 (multiplicity 4)
5 Pb 0.373 0.191 0.888 (multiplicity 4)
6 Au 0.163 0.052 0.661 (multiplicity 4)
7 Au 0.285 0.437 0.438 (multiplicity 4)
8 Au 0.357 0.086 0.598 (multiplicity 4)

---

This entry pairs a crystal structure of InPbAu with its calculated powder diffractogram. Radiation: Cu Kα, 1.54184 Å. Structure: a cell relaxed with GGA-PBE.
Kinematic intensities with the Lorentz-polarization factor, no thermal factor.

Peak list (10 most intense, 2θ from 10° to 90°, by angle)
d (Å), 2θ/deg, Rel. int.
4.046, 21.97, 25
3.948, 22.52, 50
3.926, 22.65, 26
3.435, 25.94, 23
2.457, 36.58, 100
2.446, 36.75, 49
2.409, 37.33, 100
2.399, 37.49, 49
1.719, 53.31, 34
1.401, 66.77, 26

Atomic structure:
Unit cell a=4.798 b=4.812 c=8.549 alpha=90.31 beta=106.10 gamma=119.74
Space group P-1 (No. 2)
One atom of each set of equivalent atoms:
1 In 0.249 0.373 0.123 (multiplicity 2)
2 Pb 0.252 0.874 0.627 (multiplicity 2)
3 Au 0.015 0.257 0.772 (multiplicity 2)